The following is a computed powder X-ray diffraction pattern of NaSrCaMnO6. It was derived from a PBE+U-relaxed structure, using Cu Kα (λ = 1.5418 Å).

Cell and atoms:
a b c (Å): 8.245 8.245 8.245
angles (deg): 90.00 90.00 90.00
Space group F-43m (No. 216)
Unique sites:
Na (0.000, 0.000, 0.000)
Sr (0.000, 0.000, 0.500)
Ca (0.250, 0.250, 0.250)
Mn (0.250, 0.250, 0.750)
O (0.022, 0.250, 0.750)

Peak list (10 most intense, 2θ = 10–80°, low angle first)
2theta	I_rel	(hkl)
18.64	34	1 1 1
30.67	100	2 2 0
36.13	16	3 1 1
37.80	14	2 2 2
43.93	50	4 0 0
48.11	7	3 3 1
54.53	37	4 2 2
58.14	7	5 1 1
63.87	27	4 4 0
72.51	17	6 2 0

The following is a computed powder X-ray diffraction pattern of SrCaMnNbO6. It was derived from a PBE+U-relaxed structure, using Cu Kα (λ = 1.5418 Å).

Cell and atoms:
a b c (Å): 8.007 8.007 8.007
angles (deg): 90.00 90.00 90.00
Space group F-43m (No. 216)
Unique sites:
Sr (0.000, 0.000, 0.000)
Ca (0.000, 0.000, 0.500)
Mn (0.250, 0.250, 0.250)
Nb (0.250, 0.250, 0.750)
O (0.001, 0.250, 0.750)

Peak list (10 most intense, 2θ = 10–80°, low angle first)
2theta	I_rel	(hkl)
19.20	13	1 1 1
22.20	7	2 0 0
31.60	100	2 2 0
37.24	8	3 1 1
38.97	3	2 2 2
45.30	40	4 0 0
49.63	3	3 3 1
56.29	38	4 2 2
66.00	23	4 4 0
75.02	16	6 2 0

The following is a computed powder X-ray diffraction pattern of Ca2Nd2MnNiO8. It was derived from a PBE+U-relaxed structure, using Cu Kα (λ = 1.5418 Å).

Cell and atoms:
a b c (Å): 7.739 7.746 11.931
angles (deg): 90.00 90.00 90.00
Space group Cmme (No. 67)
Unique sites:
Ca (0.000, 0.014, 0.136)
Nd (0.234, 0.250, 0.645)
Mn (0.250, 0.250, 0.000)
Ni (0.000, 0.000, 0.500)
O (0.000, 0.045, 0.678)
O (0.000, 0.250, 0.474)
O (0.000, 0.250, 0.978)
O (0.213, 0.250, 0.164)
O (0.250, 0.000, 0.000)
O (0.250, 0.000, 0.500)

Peak list (10 most intense, 2θ = 10–80°, low angle first)
2theta	I_rel	(hkl)
22.36	14	0 0 3
22.97	28	0 2 0
32.27	100	0 2 3
32.71	72	2 2 0
38.09	15	0 2 4
44.61	14	0 2 5
44.95	20	2 2 4
46.94	38	0 4 0
57.27	15	2 2 6
58.11	38	2 4 3

The following is a computed powder X-ray diffraction pattern of CaNd3Mn4O12. It was derived from a PBE+U-relaxed structure, using Cu Kα (λ = 1.5418 Å).

Cell and atoms:
a b c (Å): 5.437 7.749 5.692
angles (deg): 90.00 90.67 90.00
Space group Pm (No. 6)
Unique sites:
Ca (0.000, 0.000, 0.000)
Nd (0.026, 0.500, 0.118)
Nd (0.498, 0.500, 0.618)
Nd (0.525, 0.000, 0.498)
Mn (0.011, 0.247, 0.560)
Mn (0.513, 0.246, 0.056)
O (0.098, 0.000, 0.585)
O (0.222, 0.299, 0.853)
O (0.298, 0.294, 0.361)
O (0.424, 0.000, 0.081)
O (0.596, 0.500, 0.040)
O (0.719, 0.211, 0.750)
O (0.805, 0.205, 0.260)
O (0.928, 0.500, 0.537)

Peak list (10 most intense, 2θ = 10–80°, low angle first)
2theta	I_rel	(hkl)
25.28	22	1 1 -1
31.43	43	0 0 2
32.35	98	1 2 -1
32.54	100	1 2 1
32.95	49	2 0 0
45.90	23	2 0 -2
46.47	24	2 0 2
46.90	32	0 4 0
47.50	25	0 3 2
58.70	23	3 2 1

The following is a computed powder X-ray diffraction pattern of Ca3NdMn2O8. It was derived from a PBE+U-relaxed structure, using Cu Kα (λ = 1.5418 Å).

Cell and atoms:
a b c (Å): 3.858 3.858 11.882
angles (deg): 90.00 90.00 90.00
Space group P4mm (No. 99)
Unique sites:
Ca (0.000, 0.000, 0.000)
Ca (0.000, 0.000, 0.276)
Ca (0.500, 0.500, 0.791)
Nd (0.500, 0.500, 0.498)
Mn (0.000, 0.000, 0.647)
Mn (0.500, 0.500, 0.139)
O (0.000, 0.000, 0.474)
O (0.000, 0.000, 0.808)
O (0.000, 0.500, 0.142)
O (0.000, 0.500, 0.637)
O (0.500, 0.500, 0.309)
O (0.500, 0.500, 0.976)

Peak list (10 most intense, 2θ = 10–80°, low angle first)
2theta	I_rel	(hkl)
14.91	35	0 0 2
27.57	22	1 0 2
32.40	100	1 0 3
32.83	84	1 1 0
44.79	24	1 0 5
45.12	24	1 1 4
47.11	51	2 0 0
57.51	18	1 1 6
58.34	37	2 1 3
67.82	19	2 0 6

The following is a computed powder X-ray diffraction pattern of CaNdMn4O12. It was derived from a PBE+U-relaxed structure, using Cu Kα (λ = 1.5418 Å).

Cell and atoms:
a b c (Å): 7.557 7.452 7.654
angles (deg): 90.00 90.00 90.00
Space group Amm2 (No. 38)
Unique sites:
Ca (0.000, 0.000, 0.000)
Nd (0.500, 0.000, 0.472)
Mn (0.245, 0.247, 0.739)
O (0.000, 0.195, 0.745)
O (0.215, 0.000, 0.280)
O (0.255, 0.213, 0.991)
O (0.295, 0.000, 0.703)
O (0.500, 0.212, 0.240)

Peak list (10 most intense, 2θ = 10–80°, low angle first)
2theta	I_rel	(hkl)
11.71	22	1 0 0
16.60	22	0 1 1
20.36	100	1 1 1
33.32	44	2 0 2
33.57	48	0 2 2
33.78	50	2 2 0
39.56	20	3 1 1
47.52	22	0 0 4
48.16	22	4 0 0
60.45	21	2 4 2

The following is a computed powder X-ray diffraction pattern of SrCaNdMnO6. It was derived from a PBE+U-relaxed structure, using Cu Kα (λ = 1.5418 Å).

Cell and atoms:
a b c (Å): 8.125 8.125 8.125
angles (deg): 90.00 90.00 90.00
Space group F-43m (No. 216)
Unique sites:
Sr (0.000, 0.000, 0.000)
Ca (0.250, 0.250, 0.750)
Nd (0.000, 0.000, 0.500)
Mn (0.250, 0.250, 0.250)
O (0.018, 0.250, 0.250)

Peak list (10 most intense, 2θ = 10–80°, low angle first)
2theta	I_rel	(hkl)
18.92	10	1 1 1
21.88	12	2 0 0
31.13	100	2 2 0
38.38	22	2 2 2
44.61	36	4 0 0
50.21	7	4 2 0
55.40	38	4 2 2
64.92	21	4 4 0
73.75	17	6 2 0
78.00	7	6 2 2

The following is a computed powder X-ray diffraction pattern of SrCaNdMnO6. It was derived from a PBE+U-relaxed structure, using Cu Kα (λ = 1.5418 Å).

Cell and atoms:
a b c (Å): 5.628 5.628 8.424
angles (deg): 90.00 90.00 90.00
Space group P-4n2 (No. 118)
Unique sites:
Sr (0.000, 0.500, 0.250)
Ca (0.000, 0.000, 0.500)
Nd (0.000, 0.500, 0.750)
Mn (0.000, 0.000, 0.000)
O (0.000, 0.000, 0.233)
O (0.145, 0.305, 0.990)

Peak list (10 most intense, 2θ = 10–80°, low angle first)
2theta	I_rel	(hkl)
18.96	17	1 0 1
22.34	17	1 1 0
30.91	100	1 1 2
31.80	63	2 0 0
38.47	27	2 0 2
42.95	22	0 0 4
45.59	29	2 2 0
54.42	26	2 0 4
56.10	47	3 1 2
64.42	19	2 2 4

The following is a computed powder X-ray diffraction pattern of CaNd2Ti2Mn2O12. It was derived from a PBE+U-relaxed structure, using Cu Kα (λ = 1.5418 Å).

Cell and atoms:
a b c (Å): 5.372 5.439 7.673
angles (deg): 89.75 89.93 89.56
Space group P1 (No. 1)
Unique sites:
Ca (0.000, 0.000, 0.000)
Nd (0.014, 0.080, 0.500)
Nd (0.515, 0.492, 0.001)
Ti (0.010, 0.546, 0.734)
Ti (0.505, 0.019, 0.264)
Mn (0.008, 0.535, 0.250)
Mn (0.506, 0.031, 0.751)
O (0.074, 0.546, 0.005)
O (0.205, 0.828, 0.275)
O (0.211, 0.834, 0.726)
O (0.278, 0.313, 0.280)
O (0.279, 0.311, 0.722)
O (0.439, 0.049, 0.997)
O (0.570, 0.022, 0.503)
O (0.723, 0.760, 0.797)
O (0.727, 0.755, 0.205)
O (0.783, 0.248, 0.787)
O (0.792, 0.253, 0.214)
O (0.945, 0.530, 0.497)

Peak list (10 most intense, 2θ = 10–80°, low angle first)
2theta	I_rel	(hkl)
20.01	92	0 1 1
20.18	100	1 0 -1
32.94	95	1 1 2
33.10	98	-1 1 2
33.19	49	1 -1 2
33.36	49	2 0 0
39.01	45	1 0 -3
47.39	71	0 0 4
47.78	31	2 -2 0
59.11	26	2 0 4

Please write out number 6 again, unchanged.
The following is a computed powder X-ray diffraction pattern of CaNdMn4O12. It was derived from a PBE+U-relaxed structure, using Cu Kα (λ = 1.5418 Å).

Cell and atoms:
a b c (Å): 7.557 7.452 7.654
angles (deg): 90.00 90.00 90.00
Space group Amm2 (No. 38)
Unique sites:
Ca (0.000, 0.000, 0.000)
Nd (0.500, 0.000, 0.472)
Mn (0.245, 0.247, 0.739)
O (0.000, 0.195, 0.745)
O (0.215, 0.000, 0.280)
O (0.255, 0.213, 0.991)
O (0.295, 0.000, 0.703)
O (0.500, 0.212, 0.240)

Peak list (10 most intense, 2θ = 10–80°, low angle first)
2theta	I_rel	(hkl)
11.71	22	1 0 0
16.60	22	0 1 1
20.36	100	1 1 1
33.32	44	2 0 2
33.57	48	0 2 2
33.78	50	2 2 0
39.56	20	3 1 1
47.52	22	0 0 4
48.16	22	4 0 0
60.45	21	2 4 2

- Number 6 is which compound?
  CaNdMn4O12